The following is a computed X-ray diffraction stick pattern of Cs2Ba2C3O9. It was derived from DFT lattice parameters and positions (PBE), using CuKα.

Cell and atoms:
```
data_Cs2Ba2C3O9
_chemical_formula_sum 'Cs8 Ba8 C12 O36'
_cell_length_a 10.5131
_cell_length_b 10.5131
_cell_length_c 10.5131
_cell_angle_alpha 90.00
_cell_angle_beta 90.00
_cell_angle_gamma 90.00
_space_group_name_H-M_alt 'I 21 3'
_space_group_IT_number 199
_space_group_name_Hall 'I 2b 2c 3'
loop_
_atom_site_label
_atom_site_fract_x
_atom_site_fract_y
_atom_site_fract_z
_atom_site_occupancy
Cs1 0.1898 0.1898 0.1898 1
Ba1 0.0417 0.4583 0.5417 1
C1 0.0000 0.2500 0.8417 1
O1 0.0000 0.2500 0.9663 1
O2 0.0169 0.1438 0.7804 1
```

Largest 10 diffraction maxima, low angle first, 15° ≤ 2θ ≤ 90°:
2θ/deg, d (Å), I/Imax, h k l
20.70, 4.292, 21, 2 1 1
23.94, 3.717, 63, 2 2 0
26.82, 3.325, 100, 3 0 1
31.85, 2.810, 55, 3 1 2
40.23, 2.241, 22, 3 3 2
42.11, 2.146, 18, 4 2 2
43.91, 2.062, 68, 4 3 1
47.36, 1.919, 22, 5 1 2
65.21, 1.431, 19, 7 1 2
78.22, 1.222, 18, 7 4 3